1.
Simulated PXRD pattern of Tm7ZnSe5 for Cu Kα (λ = 1.5418 Å), from a cell relaxed with GGA-PBE.

Most intense lines, 15 to 90 degrees two-theta, by intensity:
2θ = 31.34°, rel. 100
2θ = 29.45°, rel. 80
2θ = 32.46°, rel. 60
2θ = 45.54°, rel. 58
2θ = 32.89°, rel. 41
2θ = 41.46°, rel. 40

Cell and atoms:
Cell lengths 3.9639, 13.1413, 23.9343 Å; angles 90.00, 90.00, 90.00 degrees
Space group Cmc2_1 (No. 36)
Symmetry-distinct sites (fractional):
Tm (0.0000, 0.0302, 0.0000) [4 per cell]
Tm (0.0000, 0.1382, 0.2867) [4 per cell]
Tm (0.0000, 0.1396, 0.7130) [4 per cell]
Tm (0.0000, 0.3076, 0.0696) [4 per cell]
Tm (0.0000, 0.3091, 0.9300) [4 per cell]
Tm (0.0000, 0.4053, 0.3687) [4 per cell]
Tm (0.0000, 0.4068, 0.6311) [4 per cell]
Zn (0.0000, 0.3058, 0.4994) [4 per cell]
Se (0.0000, 0.0515, 0.3917) [4 per cell]
Se (0.0000, 0.0531, 0.6079) [4 per cell]
Se (0.0000, 0.2221, 0.1782) [4 per cell]
Se (0.0000, 0.2235, 0.8215) [4 per cell]
Se (0.0000, 0.4993, 0.2499) [4 per cell]

2.
Simulated PXRD pattern of TmZrSe3 for Cu Kα (λ = 1.5418 Å), from a cell relaxed with GGA-PBE.

Most intense lines, 15 to 90 degrees two-theta, by intensity:
2θ = 37.52°, rel. 100
2θ = 26.75°, rel. 43
2θ = 17.59°, rel. 34
2θ = 47.25°, rel. 34
2θ = 61.82°, rel. 26
2θ = 23.08°, rel. 21

Cell and atoms:
Cell lengths 6.6644, 6.6644, 20.7041 Å; angles 90.00, 90.00, 120.00 degrees
Space group R32 (No. 155, hexagonal axes)
Symmetry-distinct sites (fractional):
Tm (0.0000, 0.0000, 0.1581) [6 per cell]
Zr (0.0000, 0.0000, 0.3367) [6 per cell]
Se (0.0164, 0.3178, 0.2510) [18 per cell]

3.
Simulated PXRD pattern of U3Se8 for Cu Kα (λ = 1.5418 Å), from a cell relaxed with GGA-PBE.

Most intense lines, 15 to 90 degrees two-theta, by intensity:
2θ = 38.22°, rel. 100
2θ = 23.13°, rel. 64
2θ = 69.10°, rel. 36
2θ = 45.15°, rel. 34
2θ = 55.17°, rel. 17
2θ = 18.84°, rel. 17

Cell and atoms:
Cell lengths 6.6598, 6.6598, 6.6598 Å; angles 90.00, 90.00, 90.00 degrees
Space group Pm-3m (No. 221)
Symmetry-distinct sites (fractional):
U (0.0000, 0.0000, 0.5000) [3 per cell]
Se (0.2475, 0.2475, 0.2475) [8 per cell]

4.
Simulated PXRD pattern of USe2 for Cu Kα (λ = 1.5418 Å), from a cell relaxed with GGA-PBE.

Most intense lines, 15 to 90 degrees two-theta, by intensity:
2θ = 23.06°, rel. 100
2θ = 37.40°, rel. 57
2θ = 38.28°, rel. 41
2θ = 45.60°, rel. 35
2θ = 37.77°, rel. 31
2θ = 48.03°, rel. 31

Cell and atoms:
Cell lengths 10.6530, 10.6530, 6.5675 Å; angles 90.00, 90.00, 90.00 degrees
Space group P4/n (No. 85, origin choice 2)
Symmetry-distinct sites (fractional):
U (0.0911, 0.9048, 0.2489) [8 per cell]
U (0.2500, 0.2500, 0.1415) [2 per cell]
Se (0.0407, 0.1622, 0.3804) [8 per cell]
Se (0.0414, 0.3376, 0.8856) [8 per cell]
Se (0.2500, 0.7500, 0.0000) [2 per cell]
Se (0.2500, 0.7500, 0.5000) [2 per cell]

5.
Simulated PXRD pattern of U3Se4 for Cu Kα (λ = 1.5418 Å), from a cell relaxed with GGA-PBE.

Most intense lines, 15 to 90 degrees two-theta, by intensity:
2θ = 36.17°, rel. 100
2θ = 36.43°, rel. 90
2θ = 65.22°, rel. 34
2θ = 52.27°, rel. 32
2θ = 25.45°, rel. 29
2θ = 20.98°, rel. 25

Cell and atoms:
Cell lengths 4.9666, 4.9666, 24.0862 Å; angles 90.00, 90.00, 120.00 degrees
Space group R-3m (No. 166, hexagonal axes)
Symmetry-distinct sites (fractional):
U (0.0000, 0.0000, 0.0000) [3 per cell]
U (0.0000, 0.0000, 0.2421) [6 per cell]
Se (0.0000, 0.0000, 0.1216) [6 per cell]
Se (0.0000, 0.0000, 0.3716) [6 per cell]

6.
Simulated PXRD pattern of USe2 for Cu Kα (λ = 1.5418 Å), from a cell relaxed with GGA-PBE.

Most intense lines, 15 to 90 degrees two-theta, by intensity:
2θ = 34.80°, rel. 100
2θ = 23.12°, rel. 72
2θ = 42.20°, rel. 68
2θ = 40.62°, rel. 60
2θ = 25.65°, rel. 52
2θ = 32.02°, rel. 47

Cell and atoms:
Cell lengths 7.6947, 7.6947, 4.0683 Å; angles 90.00, 90.00, 120.00 degrees
Space group P-62m (No. 189)
Symmetry-distinct sites (fractional):
U (0.0000, 0.0000, 0.0000) [1 per cell]
U (0.3333, 0.6667, 0.5000) [2 per cell]
Se (0.0000, 0.2600, 0.5000) [3 per cell]
Se (0.0000, 0.5956, 0.0000) [3 per cell]

Repeat the sixth record exactly.
Simulated PXRD pattern of USe2 for Cu Kα (λ = 1.5418 Å), from a cell relaxed with GGA-PBE.

Most intense lines, 15 to 90 degrees two-theta, by intensity:
2θ = 34.80°, rel. 100
2θ = 23.12°, rel. 72
2θ = 42.20°, rel. 68
2θ = 40.62°, rel. 60
2θ = 25.65°, rel. 52
2θ = 32.02°, rel. 47

Cell and atoms:
Cell lengths 7.6947, 7.6947, 4.0683 Å; angles 90.00, 90.00, 120.00 degrees
Space group P-62m (No. 189)
Symmetry-distinct sites (fractional):
U (0.0000, 0.0000, 0.0000) [1 per cell]
U (0.3333, 0.6667, 0.5000) [2 per cell]
Se (0.0000, 0.2600, 0.5000) [3 per cell]
Se (0.0000, 0.5956, 0.0000) [3 per cell]